# 1
Starting from a GGA-PBE-relaxed structure, the X-ray diffraction stick pattern of Sr9ThCl22 was simulated for Cu Kα (λ = 1.5418 Å).
Intensities are scaled so that the largest is 100.

```
Sr9ThCl22
1.0
3.512 -17.774 0.000
3.512 17.774 0.000
0.000 0.000 7.043
Sr Th Cl
9 1 22
Cartesian
0.000 0.000 0.000 Sr
3.512 14.202 3.521 Sr
3.512 10.659 0.000 Sr
3.512 7.109 3.521 Sr
3.512 3.571 0.000 Sr
3.512 -3.571 0.000 Sr
3.512 -7.109 3.521 Sr
3.512 -10.659 0.000 Sr
3.512 -14.202 3.521 Sr
3.512 0.000 3.521 Th
0.000 0.000 3.521 Cl
1.756 8.887 1.762 Cl
1.756 8.887 5.280 Cl
1.749 5.345 1.754 Cl
1.749 5.345 5.289 Cl
1.877 1.909 1.883 Cl
1.877 1.909 5.160 Cl
1.877 -1.909 1.883 Cl
1.877 -1.909 5.160 Cl
1.749 -5.345 1.754 Cl
1.749 -5.345 5.289 Cl
1.756 -8.887 1.762 Cl
1.756 -8.887 5.280 Cl
3.512 0.000 0.000 Cl
5.274 5.345 1.754 Cl
5.274 5.345 5.289 Cl
5.146 1.909 1.883 Cl
5.146 1.909 5.160 Cl
5.146 -1.909 1.883 Cl
5.146 -1.909 5.160 Cl
5.274 -5.345 1.754 Cl
5.274 -5.345 5.289 Cl
```

Peak list (8 most intense, 2θ = 5–70°, by intensity)
2θ 35.9, d = 2.500 Å, intensity 100
2θ 21.8, d = 4.075 Å, intensity 100
2θ 36.1, d = 2.487 Å, intensity 49
2θ 64.8, d = 1.438 Å, intensity 32
2θ 42.5, d = 2.125 Å, intensity 18
2θ 42.2, d = 2.139 Å, intensity 18
2θ 42.6, d = 2.120 Å, intensity 18
2θ 64.4, d = 1.446 Å, intensity 16

# 2
Starting from a GGA-PBE-relaxed structure, the X-ray diffraction stick pattern of DySi2Ru2 was simulated for Cu Kα (λ = 1.5418 Å).
Intensities are scaled so that the largest is 100.

```
DySi2Ru2
1.0
4.184 0.000 0.000
0.000 4.184 0.000
0.000 0.000 9.560
Dy Si Ru
2 4 4
Cartesian
0.000 0.000 0.000 Dy
2.092 2.092 4.780 Dy
0.000 0.000 3.521 Si
0.000 0.000 6.039 Si
2.092 2.092 1.259 Si
2.092 2.092 8.301 Si
0.000 2.092 2.390 Ru
0.000 2.092 7.170 Ru
2.092 0.000 2.390 Ru
2.092 0.000 7.170 Ru
```

Peak list (8 most intense, 2θ = 5–70°, by intensity)
2θ 35.7, d = 2.516 Å, intensity 100
2θ 43.2, d = 2.092 Å, intensity 40
2θ 35.4, d = 2.535 Å, intensity 33
2θ 23.2, d = 3.833 Å, intensity 33
2θ 66.7, d = 1.403 Å, intensity 18
2θ 58.6, d = 1.574 Å, intensity 17
2θ 57.1, d = 1.614 Å, intensity 16
2θ 37.6, d = 2.390 Å, intensity 16

Number 1 is which compound? Sr9ThCl22